For Na8Fe6P6O24F9, a structure optimized by DFT (GGA+U) gives the calculated powder X-ray diffraction pattern in this record (Cu Kα (λ = 1.5418 Å)).
Lines closer than 0.1° are merged.

Atomic structure:
a = 21.3306 Å, b = 9.1645 Å, c = 7.0917 Å
α = 90.00°, β = 99.72°, γ = 90.00°
Space group C2/m (No. 12)
Symmetry-distinct sites (fractional):
1 Na 0.0684 0.0000 0.3606 [4 per cell]
2 Na 0.0854 0.5000 0.3264 [4 per cell]
3 Na 0.1746 0.2787 0.1472 [8 per cell]
4 Fe 0.0634 0.5000 0.7497 [4 per cell]
5 Fe 0.1055 0.0000 0.9154 [4 per cell]
6 Fe 0.2304 0.0000 0.4167 [4 per cell]
7 P 0.0000 0.2516 0.0000 [4 per cell]
8 P 0.1670 0.2502 0.6640 [8 per cell]
9 O 0.0037 0.3494 0.8240 [8 per cell]
10 O 0.0607 0.1570 0.0544 [8 per cell]
11 O 0.1089 0.3524 0.6131 [8 per cell]
12 O 0.1622 0.1592 0.8443 [8 per cell]
13 O 0.1682 0.1521 0.4863 [8 per cell]
14 O 0.2292 0.3398 0.7109 [8 per cell]
15 F 0.0000 0.5000 0.5000 [2 per cell]
16 F 0.0461 0.0000 0.6829 [4 per cell]
17 F 0.1178 0.5000 0.0023 [4 per cell]
18 F 0.1647 0.0000 0.1707 [4 per cell]
19 F 0.2055 0.5000 0.3516 [4 per cell]

Main lines, most intense first (15 to 90 degrees two-theta):
2θ = 32.18°, d 2.782, intensity 100; 2θ = 27.51°, d 3.243, intensity 79; 2θ = 16.37°, d 5.414, intensity 66; 2θ = 28.30°, d 3.154, intensity 45; 2θ = 15.93°, d 5.564, intensity 39; 2θ = 44.10°, d 2.053, intensity 35; 2θ = 39.29°, d 2.293, intensity 27; 2θ = 56.78°, d 1.621, intensity 25; 2θ = 60.51°, d 1.530, intensity 21; 2θ = 19.36°, d 4.586, intensity 19

=====

For Na2Fe2P2O8F, a structure optimized by DFT (GGA+U) gives the calculated powder X-ray diffraction pattern in this record (Cu Kα (λ = 1.5418 Å)).
Lines closer than 0.1° are merged.

Atomic structure:
a = 5.1779 Å, b = 14.4578 Å, c = 11.1681 Å
α = 90.00°, β = 90.00°, γ = 90.00°
Space group Pbcn (No. 60)
Symmetry-distinct sites (fractional):
1 Na 0.2451 0.2458 0.1550 [8 per cell]
2 Fe 0.1785 0.4898 0.6633 [8 per cell]
3 P 0.1706 0.1131 0.9095 [8 per cell]
4 O 0.1249 0.0996 0.6132 [8 per cell]
5 O 0.1945 0.4723 0.3441 [8 per cell]
6 O 0.2259 0.1035 0.0457 [8 per cell]
7 O 0.2358 0.2944 0.3630 [8 per cell]
8 F 0.0000 0.3781 0.7500 [4 per cell]

Main lines, most intense first (15 to 90 degrees two-theta):
2θ = 22.57°, d 3.939, intensity 100; 2θ = 34.25°, d 2.618, intensity 53; 2θ = 34.65°, d 2.589, intensity 53; 2θ = 32.06°, d 2.792, intensity 51; 2θ = 26.51°, d 3.363, intensity 45; 2θ = 29.44°, d 3.034, intensity 44; 2θ = 24.24°, d 3.672, intensity 38; 2θ = 26.94°, d 3.310, intensity 37; 2θ = 55.53°, d 1.655, intensity 35; 2θ = 23.43°, d 3.797, intensity 26

=====

For NaFeSO4F, a structure optimized by DFT (GGA+U) gives the calculated powder X-ray diffraction pattern in this record (Cu Kα (λ = 1.5418 Å)).
Lines closer than 0.1° are merged.

Atomic structure:
a = 6.7760 Å, b = 8.7905 Å, c = 7.3515 Å
α = 90.00°, β = 113.60°, γ = 90.00°
Space group C2/c (No. 15)
Symmetry-distinct sites (fractional):
1 Na 0.0000 0.1618 0.2500 [4 per cell]
2 Fe 0.0000 0.5000 0.0000 [4 per cell]
3 S 0.0000 0.1809 0.7500 [4 per cell]
4 O 0.1065 0.2786 0.6486 [8 per cell]
5 O 0.1622 0.0802 0.8991 [8 per cell]
6 F 0.0000 0.4136 0.2500 [4 per cell]

Main lines, most intense first (15 to 90 degrees two-theta):
2θ = 26.55°, d 3.357, intensity 100; 2θ = 28.76°, d 3.105, intensity 80; 2θ = 33.51°, d 2.674, intensity 68; 2θ = 33.83°, d 2.650, intensity 61; 2θ = 17.49°, d 5.072, intensity 46; 2θ = 51.73°, d 1.767, intensity 25; 2θ = 51.92°, d 1.761, intensity 25; 2θ = 54.26°, d 1.691, intensity 24; 2θ = 42.36°, d 2.134, intensity 23; 2θ = 18.13°, d 4.893, intensity 23